(1)
Simulated powder diffraction line list of TiS5Cl2O6 for Cu Kα X-rays, from a crystal structure in the Materials Project, relaxed with PBE.

Principal peaks in the range 10 to 90 degrees two-theta, low angle first:
2theta, intensity, (hkl)
18.1, 49, 0 0 2
18.4, 76, 1 -1 1
19.4, 37, 1 1 -1
19.7, 49, 0 1 -2
19.9, 100, 0 2 -1
20.2, 34, 1 1 1
24.4, 38, -1 2 1
27.7, 31, 0 3 0
29.4, 35, 0 1 3
32.8, 30, 2 -2 0
34.7, 62, -2 1 2
36.6, 43, 2 1 2

Lattice parameters (Å, degrees): 6.256 9.733 9.845 93.77 90.76 94.94
Fractional coordinates of all 28 atoms:
Ti 0.238 0.299 0.084
Ti 0.762 0.701 0.916
S 0.070 0.752 0.155
S 0.077 0.642 0.622
S 0.241 0.924 0.269
S 0.405 0.158 0.792
S 0.407 0.642 0.648
S 0.593 0.358 0.352
S 0.595 0.842 0.208
S 0.759 0.076 0.731
S 0.923 0.358 0.378
S 0.930 0.248 0.845
Cl 0.266 0.958 0.773
Cl 0.296 0.649 0.373
Cl 0.704 0.351 0.627
Cl 0.734 0.042 0.227
O 0.008 0.186 0.981
O 0.031 0.344 0.241
O 0.233 0.055 0.200
O 0.240 0.440 0.004
O 0.437 0.195 0.942
O 0.469 0.657 0.799
O 0.531 0.343 0.201
O 0.563 0.805 0.058
O 0.760 0.560 0.996
O 0.767 0.945 0.800
O 0.969 0.656 0.759
O 0.992 0.814 0.019

***

(2)
Simulated powder diffraction line list of ZrSCl6O for Cu Kα X-rays, from a crystal structure in the Materials Project, relaxed with PBE.

Principal peaks in the range 10 to 90 degrees two-theta, low angle first:
2theta, intensity, (hkl)
13.4, 42, 0 1 1
14.0, 42, 1 0 0
15.1, 98, 1 1 -1
16.1, 64, 1 2 0
16.6, 89, 1 2 -1
20.5, 100, 0 4 1
24.0, 77, 1 2 1
26.1, 40, 0 1 2
27.8, 38, 1 6 0
30.4, 45, 0 4 2
31.4, 69, 1 7 0
31.9, 50, 2 3 -2

Lattice parameters (Å, degrees): 6.924 22.331 7.574 90.00 114.21 90.00
Fractional coordinates of all 36 atoms:
Zr 0.003 0.075 0.157
Zr 0.003 0.425 0.657
Zr 0.997 0.575 0.343
Zr 0.997 0.925 0.843
S 0.375 0.641 0.823
S 0.375 0.859 0.323
S 0.625 0.141 0.677
S 0.625 0.359 0.177
Cl 0.186 0.167 0.176
Cl 0.186 0.333 0.676
Cl 0.202 0.026 0.962
Cl 0.202 0.474 0.462
Cl 0.215 0.720 0.819
Cl 0.215 0.780 0.319
Cl 0.240 0.034 0.453
Cl 0.240 0.466 0.953
Cl 0.258 0.611 0.241
Cl 0.258 0.889 0.741
Cl 0.398 0.175 0.762
Cl 0.398 0.325 0.262
Cl 0.602 0.675 0.738
Cl 0.602 0.825 0.238
Cl 0.742 0.111 0.259
Cl 0.742 0.389 0.759
Cl 0.760 0.534 0.047
Cl 0.760 0.966 0.547
Cl 0.785 0.220 0.681
Cl 0.785 0.280 0.181
Cl 0.798 0.526 0.538
Cl 0.798 0.974 0.038
Cl 0.814 0.667 0.324
Cl 0.814 0.833 0.824
O 0.230 0.604 0.660
O 0.230 0.896 0.160
O 0.770 0.104 0.840
O 0.770 0.396 0.340